1.
Theoretical XRD peak list of Pr8Te4CS3 for CuKα, from a PBE-relaxed structure.
No peak broadening, texture or thermal motion is included.

Atomic structure:
a b c (Å): 8.7572 8.7572 8.7572
angles (deg): 57.48 57.48 57.48
Fractional positions:
Pr 0.2368 0.2368 0.2368
Pr 0.2573 0.7223 0.7223
Pr 0.2777 0.2777 0.7427
Pr 0.2777 0.7427 0.2777
Pr 0.7223 0.2573 0.7223
Pr 0.7223 0.7223 0.2573
Pr 0.7427 0.2777 0.2777
Pr 0.7632 0.7632 0.7632
Te 0.0000 0.0000 0.0000
Te 0.0000 0.5000 0.5000
Te 0.5000 0.0000 0.5000
Te 0.5000 0.5000 0.0000
C 0.5000 0.5000 0.5000
S 0.0000 0.0000 0.5000
S 0.0000 0.5000 0.0000
S 0.5000 0.0000 0.0000

Peak list (10 most intense, 2θ from 10° to 80°, in order of rising 2θ)
2theta, Rel. int.
24.75, 14
25.76, 12
29.45, 100
31.96, 24
37.03, 10
41.30, 29
42.96, 37
52.94, 18
57.98, 16
70.46, 14

2.
Theoretical XRD peak list of Pr5Sb2C for CuKα, from a PBE-relaxed structure.
No peak broadening, texture or thermal motion is included.

Atomic structure:
a b c (Å): 6.0241 6.0241 15.7346
angles (deg): 90.00 90.00 122.84
Fractional positions:
Pr 0.0955 0.9045 0.6296
Pr 0.0955 0.9045 0.8704
Pr 0.2503 0.7497 0.2500
Pr 0.4042 0.5958 0.6297
Pr 0.4042 0.5958 0.8703
Pr 0.5958 0.4042 0.1297
Pr 0.5958 0.4042 0.3703
Pr 0.7497 0.2503 0.7500
Pr 0.9045 0.0955 0.1296
Pr 0.9045 0.0955 0.3704
Sb 0.2494 0.7506 0.0571
Sb 0.2494 0.7506 0.4429
Sb 0.7506 0.2494 0.5571
Sb 0.7506 0.2494 0.9429
C 0.2499 0.7501 0.7500
C 0.7501 0.2499 0.2500

Peak list (10 most intense, 2θ from 10° to 80°, in order of rising 2θ)
2theta, Rel. int.
22.60, 19
28.27, 24
30.25, 100
31.03, 57
33.53, 78
34.37, 36
41.12, 21
52.40, 20
54.69, 28
56.82, 17

3.
Theoretical XRD peak list of Pr3SbC for CuKα, from a PBE-relaxed structure.
No peak broadening, texture or thermal motion is included.

Atomic structure:
a b c (Å): 8.5928 4.1415 15.0031
angles (deg): 90.00 90.00 90.00
Fractional positions:
Pr 0.0230 0.2500 0.0999
Pr 0.1725 0.2500 0.5055
Pr 0.2067 0.7500 0.2972
Pr 0.2933 0.2500 0.7972
Pr 0.3275 0.7500 0.0055
Pr 0.4770 0.7500 0.5999
Pr 0.5230 0.2500 0.4001
Pr 0.6725 0.2500 0.9945
Pr 0.7067 0.7500 0.2028
Pr 0.7933 0.2500 0.7028
Pr 0.8275 0.7500 0.4945
Pr 0.9770 0.7500 0.9001
Sb 0.0868 0.7500 0.6728
Sb 0.4132 0.2500 0.1728
Sb 0.5868 0.7500 0.8272
Sb 0.9132 0.2500 0.3272
C 0.1567 0.2500 0.9412
C 0.3433 0.7500 0.4412
C 0.6567 0.2500 0.5588
C 0.8433 0.7500 0.0588

Peak list (10 most intense, 2θ from 10° to 80°, in order of rising 2θ)
2theta, Rel. int.
27.97, 23
29.88, 100
30.57, 67
31.62, 81
31.81, 35
32.31, 62
33.49, 18
33.89, 18
43.71, 34
54.94, 33

4.
Theoretical XRD peak list of Tb2Pr2Sb2C for CuKα, from a PBE-relaxed structure.
No peak broadening, texture or thermal motion is included.

Atomic structure:
a b c (Å): 4.8260 4.8260 16.4807
angles (deg): 90.00 90.00 90.00
Fractional positions:
Tb 0.0000 0.5000 0.0000
Tb 0.0000 0.5000 0.5000
Tb 0.5000 0.0000 0.0000
Tb 0.5000 0.0000 0.5000
Pr 0.0000 0.0000 0.1634
Pr 0.0000 0.0000 0.8366
Pr 0.5000 0.5000 0.3366
Pr 0.5000 0.5000 0.6634
Sb 0.0000 0.0000 0.3637
Sb 0.0000 0.0000 0.6363
Sb 0.5000 0.5000 0.1363
Sb 0.5000 0.5000 0.8637
C 0.0000 0.0000 0.0000
C 0.5000 0.5000 0.5000

Peak list (10 most intense, 2θ from 10° to 80°, in order of rising 2θ)
2theta, Rel. int.
10.74, 20
28.31, 74
32.60, 29
34.12, 100
37.26, 58
50.33, 34
53.72, 20
61.83, 16
64.27, 16
65.19, 34

5.
Theoretical XRD peak list of PrSc2C for CuKα, from a PBE-relaxed structure.
No peak broadening, texture or thermal motion is included.

Atomic structure:
a b c (Å): 3.3416 3.3416 28.1018
angles (deg): 90.00 90.00 120.00
Fractional positions:
Pr 0.0000 0.0000 0.0000
Pr 0.3333 0.6667 0.6667
Pr 0.6667 0.3333 0.3333
Sc 0.0000 0.0000 0.1232
Sc 0.0000 0.0000 0.8768
Sc 0.3333 0.6667 0.5435
Sc 0.3333 0.6667 0.7899
Sc 0.6667 0.3333 0.2101
Sc 0.6667 0.3333 0.4565
C 0.0000 0.0000 0.5000
C 0.3333 0.6667 0.1667
C 0.6667 0.3333 0.8333

Peak list (10 most intense, 2θ from 10° to 80°, in order of rising 2θ)
2theta, Rel. int.
18.95, 65
28.59, 44
31.07, 100
31.57, 60
38.35, 55
40.38, 74
44.96, 24
54.96, 29
61.79, 20
63.11, 27

6.
Theoretical XRD peak list of PrScC2 for CuKα, from a PBE-relaxed structure.
No peak broadening, texture or thermal motion is included.

Atomic structure:
a b c (Å): 3.5912 3.5912 17.2154
angles (deg): 90.00 90.00 120.00
Fractional positions:
Pr 0.0000 0.0000 0.0000
Pr 0.3333 0.6667 0.6667
Pr 0.6667 0.3333 0.3333
Sc 0.0000 0.0000 0.5000
Sc 0.3333 0.6667 0.1667
Sc 0.6667 0.3333 0.8333
C 0.0000 0.0000 0.2383
C 0.0000 0.0000 0.7617
C 0.3333 0.6667 0.4284
C 0.3333 0.6667 0.9050
C 0.6667 0.3333 0.0950
C 0.6667 0.3333 0.5716

Peak list (10 most intense, 2θ from 10° to 80°, in order of rising 2θ)
2theta, Rel. int.
15.44, 47
29.18, 38
30.56, 96
31.17, 31
35.62, 100
39.03, 20
50.85, 35
51.65, 32
60.86, 28
63.62, 17